(1)
Starting from the GGA-PBE geometry in Alexandria, the powder X-ray diffraction pattern of LiDy4Se6 was calculated for Cu Kα (λ = 1.5418 Å).
Intensities are scaled so that the largest is 100.

Largest 10 diffraction maxima, by intensity, 10 to 90 degrees two-theta:
d 2.680, I 100
d 2.406, I 88
d 3.983, I 43
d 2.503, I 42
d 3.263, I 40
d 2.787, I 39
d 3.533, I 38
d 3.286, I 38
d 2.145, I 36
d 1.379, I 34

a = 7.969 Å, b = 7.969 Å, c = 7.969 Å
α = 91.18°, β = 91.18°, γ = 91.18°
Positions (direct):
Li 0.000 0.000 0.000
Li 0.500 0.500 0.500
Dy 0.139 0.750 0.361
Dy 0.250 0.250 0.250
Dy 0.250 0.639 0.861
Dy 0.361 0.139 0.750
Dy 0.639 0.861 0.250
Dy 0.750 0.361 0.139
Dy 0.750 0.750 0.750
Dy 0.861 0.250 0.639
Se 0.060 0.915 0.684
Se 0.085 0.316 0.940
Se 0.184 0.415 0.560
Se 0.316 0.940 0.085
Se 0.415 0.560 0.184
Se 0.440 0.816 0.585
Se 0.560 0.184 0.415
Se 0.585 0.440 0.816
Se 0.684 0.060 0.915
Se 0.816 0.585 0.440
Se 0.915 0.684 0.060
Se 0.940 0.085 0.316

(2)
Starting from the GGA-PBE geometry in Alexandria, the powder X-ray diffraction pattern of Al6Ge5 was calculated for Cu Kα (λ = 1.5418 Å).
Intensities are scaled so that the largest is 100.

Largest 10 diffraction maxima, by intensity, 10 to 90 degrees two-theta:
d 3.331, I 100
d 2.322, I 48
d 1.905, I 45
d 3.240, I 41
d 1.923, I 37
d 3.177, I 26
d 2.818, I 24
d 2.016, I 22
d 1.854, I 19
d 2.697, I 14

a = 7.728 Å, b = 7.728 Å, c = 7.728 Å
α = 96.59°, β = 96.59°, γ = 96.59°
Positions (direct):
Al 0.016 0.330 0.928
Al 0.072 0.984 0.670
Al 0.170 0.484 0.572
Al 0.330 0.928 0.016
Al 0.428 0.830 0.516
Al 0.484 0.572 0.170
Al 0.516 0.428 0.830
Al 0.572 0.170 0.484
Al 0.670 0.072 0.984
Al 0.830 0.516 0.428
Al 0.928 0.016 0.330
Al 0.984 0.670 0.072
Ge 0.101 0.750 0.399
Ge 0.143 0.143 0.143
Ge 0.250 0.601 0.899
Ge 0.357 0.357 0.357
Ge 0.399 0.101 0.750
Ge 0.601 0.899 0.250
Ge 0.643 0.643 0.643
Ge 0.750 0.399 0.101
Ge 0.857 0.857 0.857
Ge 0.899 0.250 0.601

(3)
Starting from the GGA-PBE geometry in Alexandria, the powder X-ray diffraction pattern of CaZn2Ga2Au2 was calculated for Cu Kα (λ = 1.5418 Å).
Intensities are scaled so that the largest is 100.

Largest 10 diffraction maxima, by intensity, 10 to 90 degrees two-theta:
d 2.230, I 100
d 3.676, I 66
d 2.365, I 64
d 3.989, I 56
d 1.947, I 50
d 3.246, I 21
d 1.487, I 21
d 1.623, I 20
d 1.312, I 19
d 1.288, I 17

a = 8.383 Å, b = 8.383 Å, c = 8.383 Å
α = 30.86°, β = 30.86°, γ = 30.86°
Positions (direct):
Ca 0.000 0.000 0.000
Zn 0.135 0.135 0.135
Zn 0.865 0.865 0.865
Ga 0.410 0.410 0.410
Ga 0.590 0.590 0.590
Au 0.246 0.246 0.246
Au 0.754 0.754 0.754

(4)
Starting from the GGA-PBE geometry in Alexandria, the powder X-ray diffraction pattern of ZnCdBr2Cl was calculated for Cu Kα (λ = 1.5418 Å).
Intensities are scaled so that the largest is 100.

Largest 10 diffraction maxima, by intensity, 10 to 90 degrees two-theta:
d 4.840, I 100
d 3.235, I 57
d 2.391, I 50
d 3.942, I 45
d 3.025, I 44
d 2.609, I 41
d 1.975, I 35
d 3.802, I 35
d 3.320, I 31
d 2.034, I 29

a = 4.037 Å, b = 4.188 Å, c = 9.756 Å
α = 82.93°, β = 86.83°, γ = 71.28°
Positions (direct):
Zn 0.000 0.000 0.000
Cd 0.450 0.302 0.533
Br 0.050 0.069 0.733
Br 0.385 0.377 0.064
Cl 0.786 0.715 0.425

(5)
Starting from the GGA-PBE geometry in Alexandria, the powder X-ray diffraction pattern of Er2Co17 was calculated for Cu Kα (λ = 1.5418 Å).
Intensities are scaled so that the largest is 100.

Largest 10 diffraction maxima, by intensity, 10 to 90 degrees two-theta:
d 2.054, I 100
d 2.069, I 64
d 2.013, I 50
d 2.389, I 42
d 2.884, I 42
d 2.308, I 33
d 1.443, I 26
d 1.840, I 18
d 1.458, I 17
d 1.194, I 16

a = 6.246 Å, b = 6.246 Å, c = 6.246 Å
α = 82.97°, β = 82.97°, γ = 82.97°
Positions (direct):
Er 0.156 0.156 0.156
Er 0.844 0.844 0.844
Co 0.000 0.500 0.500
Co 0.153 0.153 0.651
Co 0.153 0.651 0.153
Co 0.210 0.500 0.790
Co 0.210 0.790 0.500
Co 0.349 0.847 0.847
Co 0.403 0.403 0.403
Co 0.500 0.000 0.500
Co 0.500 0.210 0.790
Co 0.500 0.500 0.000
Co 0.500 0.790 0.210
Co 0.597 0.597 0.597
Co 0.651 0.153 0.153
Co 0.790 0.210 0.500
Co 0.790 0.500 0.210
Co 0.847 0.349 0.847
Co 0.847 0.847 0.349

(6)
Starting from the GGA-PBE geometry in Alexandria, the powder X-ray diffraction pattern of Nd4Zn3Pt was calculated for Cu Kα (λ = 1.5418 Å).
Intensities are scaled so that the largest is 100.

Largest 10 diffraction maxima, by intensity, 10 to 90 degrees two-theta:
d 2.588, I 100
d 2.610, I 52
d 1.502, I 37
d 1.845, I 18
d 1.490, I 18
d 1.294, I 11
d 1.815, I 8
d 1.167, I 8
d 1.165, I 8
d 1.150, I 7

a = 3.691 Å, b = 3.691 Å, c = 14.517 Å
α = 90.00°, β = 90.00°, γ = 90.00°
Positions (direct):
Nd 0.000 0.000 0.118
Nd 0.000 0.000 0.374
Nd 0.000 0.000 0.626
Nd 0.000 0.000 0.882
Zn 0.500 0.500 0.251
Zn 0.500 0.500 0.500
Zn 0.500 0.500 0.749
Pt 0.500 0.500 0.000

(7)
Starting from the GGA-PBE geometry in Alexandria, the powder X-ray diffraction pattern of NdCd11Pb was calculated for Cu Kα (λ = 1.5418 Å).
Intensities are scaled so that the largest is 100.

Largest 10 diffraction maxima, by intensity, 10 to 90 degrees two-theta:
d 2.480, I 100
d 2.707, I 97
d 2.377, I 85
d 2.543, I 79
d 2.693, I 69
d 2.526, I 49
d 2.934, I 48
d 2.355, I 47
d 2.208, I 33
d 2.230, I 32

a = 7.758 Å, b = 7.758 Å, c = 7.656 Å
α = 99.86°, β = 99.86°, γ = 130.98°
Positions (direct):
Nd 0.000 0.000 0.000
Cd 0.000 0.500 0.000
Cd 0.011 0.368 0.348
Cd 0.308 0.524 0.791
Cd 0.368 0.011 0.348
Cd 0.476 0.692 0.209
Cd 0.500 0.000 0.000
Cd 0.500 0.500 0.500
Cd 0.524 0.308 0.791
Cd 0.632 0.989 0.652
Cd 0.692 0.476 0.209
Cd 0.989 0.632 0.652
Pb 0.000 0.000 0.500

(8)
Starting from the GGA-PBE geometry in Alexandria, the powder X-ray diffraction pattern of DyHo3Ir4 was calculated for Cu Kα (λ = 1.5418 Å).
Intensities are scaled so that the largest is 100.

Largest 10 diffraction maxima, by intensity, 10 to 90 degrees two-theta:
d 2.438, I 100
d 2.359, I 46
d 1.377, I 34
d 1.424, I 19
d 1.668, I 16
d 1.219, I 11
d 1.786, I 10
d 1.121, I 9
d 1.179, I 5
d 3.336, I 1

a = 3.572 Å, b = 4.718 Å, c = 9.435 Å
α = 90.00°, β = 90.00°, γ = 90.00°
Positions (direct):
Dy 0.000 0.000 0.000
Ho 0.000 0.000 0.500
Ho 0.000 0.500 0.250
Ho 0.000 0.500 0.750
Ir 0.500 0.000 0.251
Ir 0.500 0.000 0.749
Ir 0.500 0.500 0.000
Ir 0.500 0.500 0.500

Please write out number 3 again, unchanged.
Starting from the GGA-PBE geometry in Alexandria, the powder X-ray diffraction pattern of CaZn2Ga2Au2 was calculated for Cu Kα (λ = 1.5418 Å).
Intensities are scaled so that the largest is 100.

Largest 10 diffraction maxima, by intensity, 10 to 90 degrees two-theta:
d 2.230, I 100
d 3.676, I 66
d 2.365, I 64
d 3.989, I 56
d 1.947, I 50
d 3.246, I 21
d 1.487, I 21
d 1.623, I 20
d 1.312, I 19
d 1.288, I 17

a = 8.383 Å, b = 8.383 Å, c = 8.383 Å
α = 30.86°, β = 30.86°, γ = 30.86°
Positions (direct):
Ca 0.000 0.000 0.000
Zn 0.135 0.135 0.135
Zn 0.865 0.865 0.865
Ga 0.410 0.410 0.410
Ga 0.590 0.590 0.590
Au 0.246 0.246 0.246
Au 0.754 0.754 0.754